For Hf2MoH8, DFT lattice parameters and positions (PBE) gives the theoretical powder XRD pattern in this record (CuKα).
Peak positions follow from Bragg's law for the DFT cell and can differ from measured ones.

Principal peaks in the range 2θ from 15° to 90°, most intense first:
(1 1 -1), 33.8°, 2.654 Å, I = 100; (3 1 0), 37.5°, 2.398 Å, I = 73; (2 0 1), 31.7°, 2.821 Å, I = 58; (4 0 -1), 32.3°, 2.771 Å, I = 56; (2 0 -2), 39.5°, 2.281 Å, I = 32; (1 1 2), 55.2°, 1.663 Å, I = 24; (5 1 -2), 56.0°, 1.643 Å, I = 24; (4 2 -1), 66.5°, 1.406 Å, I = 21; (5 1 1), 62.8°, 1.479 Å, I = 16; (7 1 -1), 63.5°, 1.464 Å, I = 16; (6 0 0), 51.7°, 1.769 Å, I = 15; (2 2 1), 66.2°, 1.412 Å, I = 14

Structural model:
```
data_Hf2MoH8
_cell_length_a 11.4750
_cell_length_b 3.2627
_cell_length_c 4.5632
_cell_angle_alpha 90.00
_cell_angle_beta 112.36
_cell_angle_gamma 90.00
_space_group_name_H-M_alt 'C 1 2/m 1'
_space_group_IT_number 12
_space_group_name_Hall '-C 2y'
loop_
_atom_site_label
_atom_site_fract_x
_atom_site_fract_y
_atom_site_fract_z
Hf1 0.1639 0.0000 0.1545
Mo1 0.0000 0.5000 0.5000
H1 0.0097 0.0000 0.2832
H2 0.0846 0.5000 0.9292
H3 0.1617 0.5000 0.4512
H4 0.2272 0.0000 0.8140
```